# Gd2Mo2O7
Simulated X-ray diffraction stick pattern, CuKα. Input: a DFT-relaxed cell (PBE+U, the Materials Project).

```
Gd2Mo2O7
1.0
0.0000 5.2549 5.2549
5.2549 0.0000 5.2549
5.2549 5.2549 0.0000
Gd Mo O
4 4 14
direct
0.0000 0.0000 0.0000
0.0000 0.0000 0.5000
0.0000 0.5000 0.0000
0.5000 0.0000 0.0000
0.0000 0.5000 0.5000
0.5000 0.0000 0.5000
0.5000 0.5000 0.0000
0.5000 0.5000 0.5000
0.1250 0.1250 0.1250
0.1635 0.1635 0.5865
0.1635 0.5865 0.1635
0.1635 0.5865 0.5865
0.4135 0.4135 0.8365
0.4135 0.8365 0.4135
0.4135 0.8365 0.8365
0.5865 0.1635 0.1635
0.5865 0.1635 0.5865
0.5865 0.5865 0.1635
0.8365 0.4135 0.4135
0.8365 0.4135 0.8365
0.8365 0.8365 0.4135
0.8750 0.8750 0.8750
```

Main lines, by angle (2θ = 5–70°):
2θ (°)  Rel. int.
14.60  5
28.16  2
29.44  100
34.12  32
37.29  5
44.81  2
49.03  48
51.44  2
58.23  43
61.09  10